For GaSe, a cell relaxed with PBE gives the calculated X-ray powder pattern in this record (Cu Kα).
Lines closer than 0.1° are merged.

Principal peaks in the range 2θ = 10–90°, by angle:
| Position (°2θ) | intensity | index |
| --- | --- | --- |
| 10.08 | 62 | 0 0 4 |
| 20.24 | 92 | 0 0 8 |
| 27.00 | 24 | 1 0 0 |
| 27.13 | 64 | 1 0 1 |
| 31.10 | 94 | 1 0 6 |
| 45.42 | 100 | 1 0 14 |
| 47.69 | 96 | 1 1 0 |
| 52.32 | 46 | 1 1 8 |
| 67.99 | 29 | 2 0 14 |
| 87.26 | 30 | 2 1 14 |

Crystal structure
```
GaSe
1.0
3.813 0.000 0.000
-1.906 3.302 0.000
0.000 0.000 35.105
Ga Se
8 8
Cartesian
0.000 0.000 0.000
0.000 0.000 2.469
0.000 0.000 17.552
0.000 0.000 20.022
0.000 2.201 8.822
0.000 2.201 11.286
1.906 1.101 26.374
1.906 1.101 28.839
0.000 0.000 7.650
0.000 0.000 12.458
0.000 0.000 25.202
0.000 0.000 30.010
0.000 2.201 16.378
0.000 2.201 21.196
1.906 1.101 3.644
1.906 1.101 33.930
```

For GdB4Ru, a cell relaxed with PBE gives the calculated X-ray powder pattern in this record (Cu Kα).
Lines closer than 0.1° are merged.

Principal peaks in the range 2θ = 10–90°, by angle:
| Position (°2θ) | intensity | index |
| --- | --- | --- |
| 24.88 | 76 | 0 0 1 |
| 30.89 | 83 | 0 4 0 |
| 34.44 | 18 | 1 4 0 |
| 37.43 | 19 | 1 3 1 |
| 38.06 | 20 | 2 3 0 |
| 40.06 | 100 | 0 4 1 |
| 42.95 | 24 | 1 4 1 |
| 46.01 | 29 | 2 3 1 |
| 51.05 | 18 | 0 0 2 |
| 60.87 | 24 | 0 4 2 |

Crystal structure
```
GdB4Ru
1.0
5.984 0.000 0.000
0.000 11.571 0.000
0.000 0.000 3.578
Gd B Ru
4 16 4
Cartesian
0.776 1.732 0.000
2.216 7.517 0.000
3.768 4.054 0.000
5.208 9.840 0.000
0.131 7.998 1.789
0.665 6.324 1.789
0.820 11.217 1.789
1.262 9.429 1.789
1.730 3.644 1.789
2.172 5.431 1.789
2.327 0.538 1.789
2.861 2.212 1.789
3.123 9.359 1.789
3.657 11.033 1.789
3.812 6.141 1.789
4.254 7.928 1.789
4.722 2.142 1.789
5.164 0.355 1.789
5.319 5.248 1.789
5.853 3.574 1.789
0.840 4.718 0.000
2.152 10.504 0.000
3.831 1.068 0.000
5.144 6.854 0.000
```